# 1
Starting from a structure optimized by DFT (PBE), the X-ray diffraction stick pattern of Cs2SmGe2O6 was simulated for CuKα.

Structure:
```
11
Lattice="3.1341 1.8095 6.2104 -3.1341 1.8095 6.2104 0.0000 -3.6189 6.2104" Properties=species:S:1:pos:R:3 pbc="T T T"
Cs 0.0000 0.0000 4.1104
Cs 0.0000 0.0000 14.5207
Sm 0.0000 0.0000 0.0000
Ge 0.0000 0.0000 7.9515
Ge 0.0000 0.0000 10.6796
O 0.0000 -1.7102 7.5667
O -1.4811 0.8551 7.5667
O -1.4811 -0.8551 11.0644
O 1.4811 0.8551 7.5667
O 1.4811 -0.8551 11.0644
O 0.0000 1.7102 11.0644
```

Principal peaks in the range 2θ = 5–70°, most intense first:
two_theta	I/Imax
28.5	100.0
29.1	77.7
25.2	34.5
53.0	32.1
50.8	29.5
38.4	25.1

***

# 2
Starting from a structure optimized by DFT (PBE), the X-ray diffraction stick pattern of CsTc2GeO8 was simulated for CuKα.

Structure:
```
12
Lattice="2.7418 1.5830 9.4032 -2.7418 1.5830 9.4032 0.0000 -3.1660 9.4032" Properties=species:S:1:pos:R:3 pbc="T T T"
Cs 0.0000 0.0000 0.0000
Tc 0.0000 0.0000 6.7271
Tc 0.0000 0.0000 21.4823
Ge 0.0000 0.0000 14.1047
O -1.0800 -1.3846 12.6699
O -0.6591 -1.6276 15.5396
O 0.0000 0.0000 8.4818
O -0.6591 1.6276 12.6699
O -1.0800 1.3846 15.5396
O 0.0000 0.0000 19.7277
O 1.7391 -0.2430 12.6699
O 1.7391 0.2430 15.5396
```

Principal peaks in the range 2θ = 5–70°, most intense first:
two_theta	I/Imax
22.6	100.0
32.7	34.3
31.6	25.8
52.6	18.4
40.1	16.6
51.2	14.1

***

# 3
Starting from a structure optimized by DFT (PBE), the X-ray diffraction stick pattern of Cs2TlGe2O6 was simulated for CuKα.

Structure:
```
11
Lattice="3.1536 1.8207 6.6349 -3.1536 1.8207 6.6349 0.0000 -3.6414 6.6349" Properties=species:S:1:pos:R:3 pbc="T T T"
Cs 0.0000 0.0000 4.1506
Cs 0.0000 0.0000 15.7541
Tl 0.0000 0.0000 0.0000
Ge 0.0000 0.0000 8.1641
Ge 0.0000 0.0000 11.7406
O 0.0000 -1.7238 8.1820
O -1.4928 0.8619 8.1820
O -1.4928 -0.8619 11.7228
O 1.4928 0.8619 8.1820
O 1.4928 -0.8619 11.7228
O 0.0000 1.7238 11.7228
```

Principal peaks in the range 2θ = 5–70°, most intense first:
two_theta	I/Imax
27.7	100.0
28.3	85.4
49.8	37.0
40.0	33.6
48.7	19.0
50.1	17.8

***

# 4
Starting from a structure optimized by DFT (PBE), the X-ray diffraction stick pattern of CsRbZnGeOs was simulated for CuKα.

Structure:
```
5
Lattice="-2.4073 2.5409 6.1176 2.4073 -2.5409 6.1176 2.4073 2.5409 -6.1176" Properties=species:S:1:pos:R:3 pbc="T T T"
Cs 0.0000 0.0000 0.0000
Rb 0.0000 0.0000 7.2991
Zn 0.0000 2.5409 3.5722
Ge 2.4073 0.0000 3.6055
Os 0.0000 0.0000 3.5974
```

Principal peaks in the range 2θ = 5–70°, most intense first:
two_theta	I/Imax
28.1	100.0
28.7	90.1
25.5	63.6
35.3	63.2
29.2	59.5
37.4	54.1

***

# 5
Starting from a structure optimized by DFT (PBE), the X-ray diffraction stick pattern of CsGeP was simulated for CuKα.

Structure:
```
3
Lattice="1.9560 1.1293 6.7064 -1.9560 1.1293 6.7064 0.0000 -2.2585 6.7064" Properties=species:S:1:pos:R:3 pbc="T T T"
Cs 0.0000 0.0000 0.0000
Ge 0.0000 0.0000 9.6767
P 0.0000 0.0000 4.0823
```

Principal peaks in the range 2θ = 5–70°, most intense first:
two_theta	I/Imax
31.8	100.0
27.8	94.2
26.6	42.3
46.4	40.0
54.3	36.5
44.9	23.9